For La3ErTm7, a cell relaxed with PBE gives the theoretical powder XRD pattern in this record (λ = 1.5418 Å (Cu Kα)).

Crystal structure
Unit cell a=6.509 b=6.689 c=8.554 alpha=100.01 beta=98.11 gamma=95.09
Atoms (fractional coordinates):
La1 0.000 0.000 0.000
La2 0.196 0.561 0.166
La3 0.804 0.439 0.834
Er1 0.500 0.000 0.500
Tm1 0.012 0.770 0.577
Tm2 0.286 0.276 0.788
Tm3 0.437 0.793 0.852
Tm4 0.500 0.500 0.500
Tm5 0.563 0.207 0.148
Tm6 0.714 0.724 0.212
Tm7 0.988 0.230 0.423

Top 12 peaks for 2θ from 5° to 70°, sorted by position:
2θ = 27.9°, I 14
2θ = 31.5°, I 100
2θ = 32.0°, I 13
2θ = 32.2°, I 99
2θ = 32.3°, I 27
2θ = 32.5°, I 57
2θ = 32.6°, I 25
2θ = 33.1°, I 50
2θ = 34.6°, I 25
2θ = 48.2°, I 13
2θ = 56.8°, I 15
2θ = 57.8°, I 13